Computed XRD peak list
Compound: Zn2PbN2
Radiation: Cu Kα, 1.54184 Å
Structure: a PBE-relaxed structure
No peak broadening, texture or thermal motion is included.

The 6 most intense peaks (2θ from 5° to 70°), in order of rising 2θ:
| 2theta | d/Å | I_rel |
| --- | --- | --- |
| 18.8 | 4.714 | 39 |
| 26.7 | 3.333 | 27 |
| 30.8 | 2.904 | 100 |
| 36.3 | 2.472 | 50 |
| 42.9 | 2.108 | 48 |
| 67.5 | 1.388 | 25 |

Structure:
```
10
Lattice="-3.3331 3.3331 3.6868 3.3331 -3.3331 3.6868 3.3331 3.3331 -3.6868" Properties=species:S:1:pos:R:3 pbc="T T T"
Zn 4.2497 0.9165 0.0000
Zn 0.9165 2.4166 0.0000
Zn 2.4166 0.9165 3.6868
Zn -0.9165 2.4166 3.6868
Pb 0.0000 0.0000 1.8434
Pb 0.0000 0.0000 5.5303
N 2.2583 1.0748 0.0000
N 2.2583 -1.0748 3.6868
N 1.0748 4.4079 0.0000
N 1.0748 2.2583 3.6868
```